Structure and theoretical X-ray diffraction stick pattern of Ba3Al4Cd (DFT lattice parameters and positions (GGA-PBE); Cu Kα (weighted mean of Kα1 and Kα2)).
Intensities are scaled so that the largest is 100.

Main lines, in order of rising 2θ (2θ from 15° to 90°):
19.4°, intensity 59.4; 19.7°, intensity 100.0; 24.0°, intensity 56.0; 27.4°, intensity 82.5; 28.2°, intensity 75.2; 32.0°, intensity 50.2; 34.0°, intensity 95.4; 34.5°, intensity 64.0

Atomic structure:
Unit cell a=6.3182 b=13.0292 c=6.4347 alpha=90.00 beta=90.00 gamma=90.00
Fractional coordinates of all 16 atoms:
Ba: 0.2500 0.0030 0.1910
Ba: 0.2500 0.2500 0.5438
Ba: 0.2500 0.4970 0.1910
Ba: 0.7500 0.5030 0.8090
Ba: 0.7500 0.7500 0.4562
Ba: 0.7500 0.9970 0.8090
Al: 0.0195 0.2500 0.0489
Al: 0.2500 0.6435 0.6978
Al: 0.2500 0.8565 0.6978
Al: 0.4805 0.2500 0.0489
Al: 0.5195 0.7500 0.9511
Al: 0.7500 0.1435 0.3022
Al: 0.7500 0.3565 0.3022
Al: 0.9805 0.7500 0.9511
Cd: 0.2500 0.7500 0.2942
Cd: 0.7500 0.2500 0.7058


Structure and theoretical X-ray diffraction stick pattern of Ba2Al5Cd3 (DFT lattice parameters and positions (GGA-PBE); Cu Kα (weighted mean of Kα1 and Kα2)).
Intensities are scaled so that the largest is 100.

Main lines, in order of rising 2θ (2θ from 15° to 90°):
24.3°, intensity 41.1; 27.1°, intensity 34.7; 29.7°, intensity 73.2; 31.1°, intensity 100.0; 38.7°, intensity 59.9; 42.8°, intensity 40.1; 49.5°, intensity 34.4; 59.1°, intensity 30.3

Atomic structure:
Unit cell a=4.6577 b=4.6577 c=11.8419 alpha=90.00 beta=90.00 gamma=90.00
Fractional coordinates of all 10 atoms:
Ba: 0.0000 0.5000 0.2348
Ba: 0.5000 0.0000 0.7652
Al: 0.0000 0.0000 0.0000
Al: 0.0000 0.0000 0.5000
Al: 0.0000 0.5000 0.8786
Al: 0.5000 0.0000 0.1214
Al: 0.5000 0.5000 0.0000
Cd: 0.0000 0.5000 0.6424
Cd: 0.5000 0.0000 0.3576
Cd: 0.5000 0.5000 0.5000


Structure and theoretical X-ray diffraction stick pattern of BaAl3Cd (DFT lattice parameters and positions (GGA-PBE); Cu Kα (weighted mean of Kα1 and Kα2)).
Intensities are scaled so that the largest is 100.

Main lines, in order of rising 2θ (2θ from 15° to 90°):
20.9°, intensity 19.6; 27.8°, intensity 53.9; 29.8°, intensity 100.0; 31.6°, intensity 76.1; 39.7°, intensity 45.8; 42.6°, intensity 55.3; 50.4°, intensity 45.4; 59.6°, intensity 36.4

Atomic structure:
Unit cell a=6.8043 b=6.8043 c=6.8043 alpha=140.98 beta=140.98 gamma=56.37
Fractional coordinates of all 5 atoms:
Ba: 0.0000 0.0000 0.0000
Al: 0.2408 0.7408 0.5000
Al: 0.6136 0.6136 0.0000
Al: 0.7408 0.2408 0.5000
Cd: 0.3797 0.3797 0.0000


Structure and theoretical X-ray diffraction stick pattern of BaAl2Cd9 (DFT lattice parameters and positions (GGA-PBE); Cu Kα (weighted mean of Kα1 and Kα2)).
Intensities are scaled so that the largest is 100.

Main lines, in order of rising 2θ (2θ from 15° to 90°):
32.6°, intensity 100.0; 33.7°, intensity 62.9; 34.3°, intensity 23.4; 37.6°, intensity 34.5; 39.5°, intensity 66.5; 40.7°, intensity 24.9; 59.6°, intensity 28.7; 65.2°, intensity 14.3

Atomic structure:
Unit cell a=9.3183 b=9.3183 c=9.3183 alpha=100.72 beta=100.72 gamma=128.89
Fractional coordinates of all 24 atoms:
Ba: 0.3750 0.6250 0.7500
Ba: 0.6250 0.3750 0.2500
Al: 0.0000 0.0000 0.0000
Al: 0.0000 0.0000 0.5000
Al: 0.0000 0.5000 0.0000
Al: 0.5000 0.0000 0.5000
Cd: 0.1250 0.8750 0.2500
Cd: 0.1273 0.5548 0.3286
Cd: 0.1273 0.7987 0.5725
Cd: 0.2013 0.2738 0.3286
Cd: 0.2013 0.8727 0.9275
Cd: 0.2738 0.2013 0.8286
Cd: 0.2738 0.4452 0.0725
Cd: 0.4452 0.2738 0.5725
Cd: 0.4452 0.8727 0.1714
Cd: 0.5548 0.1273 0.8286
Cd: 0.5548 0.7262 0.4275
Cd: 0.7262 0.5548 0.9275
Cd: 0.7262 0.7987 0.1714
Cd: 0.7987 0.1273 0.0725
Cd: 0.7987 0.7262 0.6714
Cd: 0.8727 0.2013 0.4275
Cd: 0.8727 0.4452 0.6714
Cd: 0.8750 0.1250 0.7500